The following is a calculated powder diffraction line list of YBe2Fe2C. It was derived from a crystal structure in Alexandria, relaxed with PBE, using copper Kα.
Lines closer than 0.1° are merged.

Top 10 peaks for 10° ≤ 2θ ≤ 90°, in order of falling intensity:
d = 2.343 Å, 2θ = 38.4°, intensity 100, hkl 1 1 1; d = 3.741 Å, 2θ = 23.8°, intensity 36, hkl 1 0 0; d = 2.525 Å, 2θ = 35.6°, intensity 34, hkl 0 0 2; d = 1.871 Å, 2θ = 48.7°, intensity 33, hkl 2 0 0; d = 3.006 Å, 2θ = 29.7°, intensity 32, hkl 1 0 1; d = 1.503 Å, 2θ = 61.7°, intensity 24, hkl 2 0 2; d = 2.093 Å, 2θ = 43.2°, intensity 22, hkl 1 0 2; d = 1.420 Å, 2θ = 65.8°, intensity 19, hkl 1 1 3; d = 1.152 Å, 2θ = 84.0°, intensity 19, hkl 3 1 1; d = 1.395 Å, 2θ = 67.1°, intensity 11, hkl 2 1 2

Cell and atoms:
```
YBe2Fe2C
1.0
3.741 0.000 0.000
0.000 3.741 0.000
0.000 0.000 5.049
Y Be Fe C
1 2 2 1
Cartesian
0.000 0.000 0.000
1.871 1.871 1.231
1.871 1.871 3.818
0.000 1.871 2.525
1.871 0.000 2.525
0.000 0.000 2.525
```